[1]
# Al4CuAu5
Computed XRD peak list, Cu Kα (weighted mean of Kα1 and Kα2). Input: a PBE-relaxed structure.
Intensities are scaled so that the largest is 100.

Principal peaks in the range 2θ = 10–80°, by intensity:
40.29°, I = 100; 23.30°, I = 86; 40.74°, I = 74; 33.73°, I = 62; 27.89°, I = 45; 44.18°, I = 42; 42.51°, I = 39; 29.84°, I = 34

Crystal structure
```
10
Lattice="-2.050 4.008 5.234 2.050 -4.008 5.234 2.050 4.008 -5.234" Properties=species:S:1:pos:R:3 pbc="T T T"
Al 0.000 0.000 2.585
Al 0.000 2.461 0.000
Al 0.000 5.555 0.000
Al 0.000 0.000 7.882
Cu 0.000 0.000 0.000
Au 2.050 1.472 -1.620
Au 2.050 1.472 1.620
Au 0.000 0.000 5.234
Au 0.000 2.535 3.614
Au 0.000 2.535 6.854
```


[2]
# LiP4
Computed XRD peak list, Cu Kα (weighted mean of Kα1 and Kα2). Input: a PBE-relaxed structure.
Intensities are scaled so that the largest is 100.

Principal peaks in the range 2θ = 10–80°, by intensity:
32.71°, I = 100; 28.98°, I = 81; 17.04°, I = 64; 51.32°, I = 34; 21.73°, I = 31; 45.76°, I = 30; 52.50°, I = 27; 30.14°, I = 26

Crystal structure
```
10
Lattice="5.277 0.000 0.000 0.000 4.892 0.000 -1.268 0.000 7.454" Properties=species:S:1:pos:R:3 pbc="T T T"
Li 0.000 0.000 0.000
Li -0.634 2.446 3.727
P 0.362 0.905 5.641
P 0.996 1.541 1.914
P 2.008 3.044 0.707
P 1.374 4.295 4.434
P 2.635 0.597 3.020
P 2.001 1.849 6.747
P 3.013 3.351 5.540
P 3.647 3.988 1.813
```


[3]
# Cu2TeAuS4
Computed XRD peak list, Cu Kα (weighted mean of Kα1 and Kα2). Input: a PBE-relaxed structure.
Intensities are scaled so that the largest is 100.

Principal peaks in the range 2θ = 10–80°, by intensity:
26.29°, I = 100; 28.78°, I = 65; 29.86°, I = 45; 28.02°, I = 41; 38.80°, I = 38; 22.00°, I = 33; 12.46°, I = 29; 47.25°, I = 29

Crystal structure
```
16
Lattice="7.714 0.000 0.000 0.000 7.104 0.000 0.000 0.000 6.369" Properties=species:S:1:pos:R:3 pbc="T T T"
Cu 1.916 0.965 0.000
Cu 1.941 6.139 3.185
Cu 5.772 6.139 3.185
Cu 5.798 0.965 0.000
Te 0.000 2.488 2.945
Te 3.857 4.616 6.129
Au 0.000 4.034 0.403
Au 3.857 3.069 3.588
S 0.000 1.973 5.592
S 0.000 5.278 2.419
S 1.875 5.967 5.471
S 1.982 1.137 2.286
S 3.857 1.826 5.604
S 3.857 5.131 2.407
S 5.732 1.137 2.286
S 5.838 5.967 5.471
```


[4]
# PaCo5H7
Computed XRD peak list, Cu Kα (weighted mean of Kα1 and Kα2). Input: a PBE-relaxed structure.
Intensities are scaled so that the largest is 100.

Principal peaks in the range 2θ = 10–80°, by intensity:
40.58°, I = 100; 41.48°, I = 85; 42.56°, I = 80; 21.30°, I = 77; 35.12°, I = 60; 20.91°, I = 57; 41.24°, I = 56; 24.29°, I = 51

Crystal structure
```
13
Lattice="5.110 0.000 0.000 2.552 4.464 0.000 2.554 -1.371 4.249" Properties=species:S:1:pos:R:3 pbc="T T T"
Pa 0.000 0.000 0.000
Co 2.387 -0.380 1.879
Co 2.387 1.904 0.216
Co 5.792 1.550 2.130
Co 7.492 1.190 4.044
Co 7.492 3.483 2.374
H 3.903 0.225 3.099
H 3.903 2.882 1.165
H 3.201 0.722 0.992
H 6.022 2.947 1.111
H 6.028 0.155 3.144
H 8.289 2.394 3.288
H 7.383 1.560 2.121
```


[5]
# Tb6HoCd
Computed XRD peak list, Cu Kα (weighted mean of Kα1 and Kα2). Input: a PBE-relaxed structure.
Intensities are scaled so that the largest is 100.

Principal peaks in the range 2θ = 10–80°, by intensity:
31.33°, I = 100; 36.58°, I = 33; 62.59°, I = 28; 52.14°, I = 24; 35.84°, I = 17; 61.61°, I = 14; 65.37°, I = 12; 52.69°, I = 12

Crystal structure
```
8
Lattice="4.914 0.000 0.000 0.000 4.914 0.000 0.000 0.000 10.021" Properties=species:S:1:pos:R:3 pbc="T T T"
Tb 0.000 0.000 0.000
Tb 0.000 0.000 5.011
Tb 0.000 2.457 2.459
Tb 0.000 2.457 7.562
Tb 2.457 0.000 2.459
Tb 2.457 0.000 7.562
Ho 2.457 2.457 5.011
Cd 2.457 2.457 0.000
```


[6]
# AcGe3Ir
Computed XRD peak list, Cu Kα (weighted mean of Kα1 and Kα2). Input: a PBE-relaxed structure.
Intensities are scaled so that the largest is 100.

Principal peaks in the range 2θ = 10–80°, by intensity:
32.87°, I = 100; 39.67°, I = 41; 52.41°, I = 31; 27.77°, I = 29; 67.72°, I = 18; 21.40°, I = 16; 57.36°, I = 14; 48.80°, I = 13

Crystal structure
```
5
Lattice="-2.272 2.272 5.117 2.272 -2.272 5.117 2.272 2.272 -5.117" Properties=species:S:1:pos:R:3 pbc="T T T"
Ac 0.000 0.000 0.000
Ge 2.272 0.000 2.649
Ge 0.000 0.000 4.255
Ge 0.000 2.272 2.649
Ir 0.000 0.000 6.711
```